Simulated X-ray diffraction stick pattern of LiSm4Se5 for Cu Kα X-rays, from a PBE-relaxed structure.
No peak broadening, texture or thermal motion is included.

Largest 12 diffraction maxima, by angle, 15 to 90 degrees two-theta:
d_spacing, two_theta, Rel. int.
4.948, 17.93, 8
4.629, 19.18, 4
3.380, 26.37, 13
2.927, 30.54, 100
2.730, 32.81, 3
2.351, 38.28, 3
2.070, 43.73, 74
1.765, 51.79, 5
1.690, 54.27, 26
1.464, 63.56, 12
1.309, 72.15, 32
1.195, 80.34, 24

Structural model:
Cell: 7.1706 7.1706 7.1706 Å, 99.59 99.59 131.81°
Sites, in units of the cell vectors:
Li (0.0000, 0.0000, 0.0000)
Sm (0.1940, 0.5935, 0.7993)
Sm (0.3946, 0.1940, 0.6004)
Sm (0.5935, 0.7942, 0.3996)
Sm (0.7942, 0.3946, 0.2007)
Se (0.0894, 0.2837, 0.3851)
Se (0.2837, 0.8986, 0.1943)
Se (0.4941, 0.4941, 0.0000)
Se (0.7044, 0.0894, 0.8057)
Se (0.8986, 0.7044, 0.6149)